(1)
# La3PmTl4
Simulated PXRD pattern, Cu Kα (weighted mean of Kα1 and Kα2). Input: a structure optimized by DFT (PBE).
Peak positions follow from Bragg's law for the DFT cell and can differ from measured ones.

Peak list (12 most intense, 10° ≤ 2θ ≤ 90°, sorted by position)
2θ/deg  d (Å)  I/Imax  (hkl)
31.93  2.803  100  1 0 4
32.09  2.789  50  1 1 0
45.53  1.992  9  0 0 8
46.02  1.972  19  2 0 0
56.79  1.621  19  1 1 8
57.11  1.613  39  2 1 4
66.74  1.401  12  2 0 8
67.13  1.394  6  2 2 0
75.54  1.259  8  1 0 12
76.27  1.248  8  3 0 4
76.36  1.247  8  3 1 0
84.88  1.142  6  2 2 8

Cell and atoms:
```
data_La3PmTl4
_cell_length_a 3.944
_cell_length_b 3.944
_cell_length_c 15.937
_cell_angle_alpha 90.00
_cell_angle_beta 90.00
_cell_angle_gamma 90.00
_space_group_name_H-M_alt 'P 4/m m m'
_space_group_IT_number 123
_space_group_name_Hall '-P 4 2'
loop_
_atom_site_label
_atom_site_fract_x
_atom_site_fract_y
_atom_site_fract_z
_atom_site_occupancy
La1 0.000 0.000 0.000 1
La2 0.000 0.000 0.254 1
Pm1 0.000 0.000 0.500 1
Tl1 0.500 0.500 0.127 1
Tl2 0.500 0.500 0.383 1
```

***

(2)
# Th5HgBi4
Simulated PXRD pattern, Cu Kα (weighted mean of Kα1 and Kα2). Input: a structure optimized by DFT (PBE).
Peak positions follow from Bragg's law for the DFT cell and can differ from measured ones.

Peak list (11 most intense, 10° ≤ 2θ ≤ 90°, sorted by position)
2θ/deg  d (Å)  I/Imax  (hkl)
27.60  3.232  100  0 0 2
34.54  2.596  1  3 2 1
39.43  2.285  79  1 3 2
48.81  1.866  29  4 2 2
56.58  1.627  1  1 6 1
56.99  1.616  14  0 0 4
64.47  1.445  37  1 3 4
71.50  1.319  28  4 2 4
76.57  1.244  1  7 4 1
84.86  1.143  9  2 6 4
89.73  1.093  1  2 9 1

Cell and atoms:
```
data_Th5HgBi4
_cell_length_a 10.224
_cell_length_b 10.224
_cell_length_c 6.459
_cell_angle_alpha 90.00
_cell_angle_beta 90.00
_cell_angle_gamma 90.00
_space_group_name_H-M_alt 'I 4/m'
_space_group_IT_number 87
_space_group_name_Hall '-I 4'
loop_
_atom_site_label
_atom_site_fract_x
_atom_site_fract_y
_atom_site_fract_z
_atom_site_occupancy
Th1 0.000 0.000 0.000 1
Th2 0.100 0.289 0.500 1
Hg1 0.000 0.000 0.500 1
Bi1 0.094 0.304 0.000 1
```